No. 1
The following is a theoretical powder X-ray diffraction pattern of La3Zn9Rh2. It was derived from a crystal structure in Alexandria, relaxed with PBE, using Cu Kα, 1.54184 Å.
Neutral-atom scattering factors, no anomalous dispersion.

Structural model:
abc: 8.2197 8.2197 8.2197
angles: 148.34 109.29 79.54
Fractional positions:
La: 0.0000 0.0000 0.0000
La: 0.3039 0.3039 0.0000
La: 0.6961 0.6961 0.0000
Zn: 0.0122 0.6561 0.3561
Zn: 0.1594 0.8770 0.2824
Zn: 0.3000 0.6561 0.6439
Zn: 0.4053 0.1230 0.2824
Zn: 0.5000 0.0000 0.5000
Zn: 0.5947 0.8770 0.7176
Zn: 0.7000 0.3439 0.3561
Zn: 0.8406 0.1230 0.7176
Zn: 0.9878 0.3439 0.6439
Rh: 0.3275 0.5000 0.8275
Rh: 0.6725 0.5000 0.1725

Main lines, by angle (2θ from 10° to 80°):
2theta	I (rel.)
29.1	22
34.1	25
34.6	34
34.8	100
35.4	45
36.0	33
37.5	37
40.2	59
43.7	26
54.7	25

No. 2
The following is a theoretical powder X-ray diffraction pattern of LaZn2Rh2. It was derived from a crystal structure in Alexandria, relaxed with PBE, using Cu Kα, 1.54184 Å.
Neutral-atom scattering factors, no anomalous dispersion.

Structural model:
abc: 7.4765 7.4765 3.1093
angles: 90.00 90.00 90.00
Fractional positions:
La: 0.0000 0.0000 0.0000
La: 0.5000 0.5000 0.0000
Zn: 0.1293 0.3707 0.5000
Zn: 0.3707 0.8707 0.5000
Zn: 0.6293 0.1293 0.5000
Zn: 0.8707 0.6293 0.5000
Rh: 0.1627 0.6627 0.0000
Rh: 0.3373 0.1627 0.0000
Rh: 0.6627 0.8373 0.0000
Rh: 0.8373 0.3373 0.0000

Main lines, by angle (2θ from 10° to 80°):
2theta	I (rel.)
28.7	18
33.4	25
33.9	18
38.1	83
39.6	100
45.0	16
48.4	24
59.5	13
72.8	24
74.9	17

No. 3
The following is a theoretical powder X-ray diffraction pattern of La2Zr4Rh. It was derived from a crystal structure in Alexandria, relaxed with PBE, using Cu Kα, 1.54184 Å.
Neutral-atom scattering factors, no anomalous dispersion.

Structural model:
abc: 8.9642 8.9642 8.9642
angles: 147.47 147.47 46.67
Fractional positions:
La: 0.1470 0.1470 0.0000
La: 0.8530 0.8530 0.0000
Zr: 0.0000 0.5000 0.5000
Zr: 0.3423 0.3423 0.0000
Zr: 0.5000 0.0000 0.5000
Zr: 0.6577 0.6577 0.0000
Rh: 0.5000 0.5000 0.0000

Main lines, by angle (2θ from 10° to 80°):
2theta	I (rel.)
10.7	34
24.0	31
25.1	65
27.4	38
32.6	51
33.3	83
35.8	100
49.2	72
51.5	35
62.3	31

No. 4
The following is a theoretical powder X-ray diffraction pattern of LaRu5. It was derived from a crystal structure in Alexandria, relaxed with PBE, using Cu Kα, 1.54184 Å.
Neutral-atom scattering factors, no anomalous dispersion.

Structural model:
abc: 6.6411 6.6411 3.9678
angles: 90.00 90.00 145.15
Fractional positions:
La: 0.0000 0.0000 0.0000
Ru: 0.1857 0.8143 0.5000
Ru: 0.3135 0.6865 0.0000
Ru: 0.5000 0.5000 0.5000
Ru: 0.6865 0.3135 0.0000
Ru: 0.8143 0.1857 0.5000

Main lines, by angle (2θ from 10° to 80°):
2theta	I (rel.)
28.2	8
38.5	100
42.8	14
45.6	17
45.7	17
60.9	9
64.4	16
66.6	11
79.5	12
79.7	12

No. 5
The following is a theoretical powder X-ray diffraction pattern of La4Ru5. It was derived from a crystal structure in Alexandria, relaxed with PBE, using Cu Kα, 1.54184 Å.
Neutral-atom scattering factors, no anomalous dispersion.

Structural model:
abc: 8.3844 8.3844 6.2729
angles: 90.00 90.00 120.00
Fractional positions:
La: 0.0000 0.0000 0.0000
La: 0.0000 0.0000 0.5000
La: 0.0000 0.3785 0.2500
La: 0.0000 0.6215 0.7500
La: 0.3785 0.0000 0.2500
La: 0.3785 0.3785 0.7500
La: 0.6215 0.0000 0.7500
La: 0.6215 0.6215 0.2500
Ru: 0.0000 0.3148 0.7500
Ru: 0.0000 0.6852 0.2500
Ru: 0.3148 0.0000 0.7500
Ru: 0.3148 0.3148 0.2500
Ru: 0.3333 0.6667 0.0000
Ru: 0.3333 0.6667 0.5000
Ru: 0.6667 0.3333 0.0000
Ru: 0.6667 0.3333 0.5000
Ru: 0.6852 0.0000 0.2500
Ru: 0.6852 0.6852 0.7500

Main lines, by angle (2θ from 10° to 80°):
2theta	I (rel.)
28.5	8
35.7	100
37.1	75
47.4	16
52.5	22
58.9	8
66.1	22
67.0	9
70.2	7
71.7	21

No. 6
The following is a theoretical powder X-ray diffraction pattern of La3Ru2. It was derived from a crystal structure in Alexandria, relaxed with PBE, using Cu Kα, 1.54184 Å.
Neutral-atom scattering factors, no anomalous dispersion.

Structural model:
abc: 7.5693 7.5693 7.5693
angles: 57.09 57.09 57.09
Fractional positions:
La: 0.0827 0.7500 0.4173
La: 0.2500 0.5827 0.9173
La: 0.4173 0.0827 0.7500
La: 0.5827 0.9173 0.2500
La: 0.7500 0.4173 0.0827
La: 0.9173 0.2500 0.5827
Ru: 0.1686 0.1686 0.1686
Ru: 0.3314 0.3314 0.3314
Ru: 0.6686 0.6686 0.6686
Ru: 0.8314 0.8314 0.8314

Main lines, by angle (2θ from 10° to 80°):
2theta	I (rel.)
17.0	17
28.4	100
37.8	62
43.3	48
50.2	21
52.6	24
58.9	17
70.5	15
75.5	18
75.8	16

No. 7
The following is a theoretical powder X-ray diffraction pattern of La8Ru. It was derived from a crystal structure in Alexandria, relaxed with PBE, using Cu Kα, 1.54184 Å.
Neutral-atom scattering factors, no anomalous dispersion.

Structural model:
abc: 8.1480 8.1480 8.1480
angles: 94.87 94.87 146.14
Fractional positions:
La: 0.0000 0.3312 0.3312
La: 0.0000 0.6688 0.6688
La: 0.3312 0.0000 0.3312
La: 0.3529 0.3529 0.7057
La: 0.3529 0.6471 0.0000
La: 0.6471 0.3529 0.0000
La: 0.6471 0.6471 0.2943
La: 0.6688 0.0000 0.6688
Ru: 0.0000 0.0000 0.0000

Main lines, by angle (2θ from 10° to 80°):
2theta	I (rel.)
30.8	100
34.5	35
37.9	15
45.4	4
49.6	11
52.2	21
59.5	24
64.1	22
71.9	3
72.8	3

No. 8
The following is a theoretical powder X-ray diffraction pattern of La3RuSe2. It was derived from a crystal structure in Alexandria, relaxed with PBE, using Cu Kα, 1.54184 Å.
Neutral-atom scattering factors, no anomalous dispersion.

Structural model:
abc: 14.1691 13.4998 7.5053
angles: 79.25 69.40 31.36
Fractional positions:
La: 0.0399 0.5331 0.1895
La: 0.1017 0.6483 0.6483
La: 0.1895 0.7375 0.0399
La: 0.2625 0.8105 0.4669
La: 0.3517 0.8983 0.8983
La: 0.4669 0.9601 0.2625
La: 0.5331 0.0399 0.7375
La: 0.6483 0.1017 0.1017
La: 0.7375 0.1895 0.5331
La: 0.8105 0.2625 0.9601
La: 0.8983 0.3517 0.3517
La: 0.9601 0.4669 0.8105
Ru: 0.0408 0.0408 0.2092
Ru: 0.2092 0.2092 0.0408
Ru: 0.7908 0.7908 0.9592
Ru: 0.9592 0.9592 0.7908
Se: 0.1284 0.1284 0.6216
Se: 0.2946 0.2946 0.4554
Se: 0.3784 0.3784 0.8716
Se: 0.4554 0.4554 0.2946
Se: 0.5446 0.5446 0.7054
Se: 0.6216 0.6216 0.1284
Se: 0.7054 0.7054 0.5446
Se: 0.8716 0.8716 0.3784

Main lines, by angle (2θ from 10° to 80°):
2theta	I (rel.)
29.2	52
29.4	100
41.5	18
41.9	74
42.4	18
51.6	19
52.3	19
68.7	15
68.9	15
76.0	15

No. 9
The following is a theoretical powder X-ray diffraction pattern of La3Si3Ru. It was derived from a crystal structure in Alexandria, relaxed with PBE, using Cu Kα, 1.54184 Å.
Neutral-atom scattering factors, no anomalous dispersion.

Structural model:
abc: 6.1056 6.1056 14.2627
angles: 111.27 111.27 41.97
Fractional positions:
La: 0.0202 0.0202 0.3753
La: 0.1019 0.1019 0.9201
La: 0.2519 0.2519 0.2280
La: 0.7481 0.7481 0.7720
La: 0.8981 0.8981 0.0799
La: 0.9798 0.9798 0.6247
Si: 0.3456 0.3456 0.4548
Si: 0.3976 0.3976 0.9245
Si: 0.4340 0.4340 0.7590
Si: 0.5660 0.5660 0.2410
Si: 0.6024 0.6024 0.0755
Si: 0.6544 0.6544 0.5452
Ru: 0.2577 0.2577 0.5831
Ru: 0.7423 0.7423 0.4169

Main lines, by angle (2θ from 10° to 80°):
2theta	I (rel.)
22.0	50
25.8	44
31.3	89
31.4	85
32.3	100
32.5	55
37.9	35
39.4	39
41.3	81
52.7	36

No. 10
The following is a theoretical powder X-ray diffraction pattern of LaSi3Ru. It was derived from a crystal structure in Alexandria, relaxed with PBE, using Cu Kα, 1.54184 Å.
Neutral-atom scattering factors, no anomalous dispersion.

Structural model:
abc: 4.2718 4.2718 5.8278
angles: 111.41 111.41 89.99
Fractional positions:
La: 0.0000 0.0000 0.0000
Si: 0.2383 0.7386 0.4767
Si: 0.5822 0.5822 0.1641
Si: 0.7386 0.2383 0.4767
Ru: 0.3435 0.3435 0.6881

Main lines, by angle (2θ from 10° to 80°):
2theta	I (rel.)
17.8	14
22.6	40
29.6	58
34.2	100
34.7	59
42.3	51
50.5	19
55.4	37
61.4	17
63.8	14

No. 11
The following is a theoretical powder X-ray diffraction pattern of La2SnRu. It was derived from a crystal structure in Alexandria, relaxed with PBE, using Cu Kα, 1.54184 Å.
Neutral-atom scattering factors, no anomalous dispersion.

Structural model:
abc: 6.5426 6.4815 11.8929
angles: 90.00 106.10 90.00
Fractional positions:
La: 0.0387 0.2499 0.0866
La: 0.0387 0.7501 0.5866
La: 0.3578 0.2490 0.8698
La: 0.3578 0.7510 0.3698
La: 0.6422 0.2490 0.6302
La: 0.6422 0.7510 0.1302
La: 0.9613 0.2499 0.4134
La: 0.9613 0.7501 0.9134
Sn: 0.4262 0.2512 0.3499
Sn: 0.4262 0.7488 0.8499
Sn: 0.5738 0.2512 0.1501
Sn: 0.5738 0.7488 0.6501
Ru: 0.0253 0.2497 0.6305
Ru: 0.0253 0.7503 0.1305
Ru: 0.9747 0.2497 0.8695
Ru: 0.9747 0.7503 0.3695

Main lines, by angle (2θ from 10° to 80°):
2theta	I (rel.)
23.8	22
27.5	100
28.4	63
31.3	45
36.2	23
39.9	51
40.5	18
42.2	40
46.1	25
56.8	15

No. 12
The following is a theoretical powder X-ray diffraction pattern of La2Sn6Ru. It was derived from a crystal structure in Alexandria, relaxed with PBE, using Cu Kα, 1.54184 Å.
Neutral-atom scattering factors, no anomalous dispersion.

Structural model:
abc: 4.5945 12.4347 12.4347
angles: 20.47 90.00 90.00
Fractional positions:
La: 0.0000 0.0000 0.0000
La: 0.0000 0.3351 0.3351
Sn: 0.0000 0.6055 0.6055
Sn: 0.0000 0.7239 0.7239
Sn: 0.5000 0.1014 0.1014
Sn: 0.5000 0.2206 0.2206
Sn: 0.5000 0.4656 0.4656
Sn: 0.5000 0.8885 0.8885
Ru: 0.5000 0.7818 0.7818

Main lines, by angle (2θ from 10° to 80°):
2theta	I (rel.)
29.2	33
30.1	100
33.6	25
38.2	21
38.9	15
39.2	31
40.8	27
43.8	15
57.9	20
65.5	17

What did the second record say?
The following is a theoretical powder X-ray diffraction pattern of LaZn2Rh2. It was derived from a crystal structure in Alexandria, relaxed with PBE, using Cu Kα, 1.54184 Å.
Neutral-atom scattering factors, no anomalous dispersion.

Structural model:
abc: 7.4765 7.4765 3.1093
angles: 90.00 90.00 90.00
Fractional positions:
La: 0.0000 0.0000 0.0000
La: 0.5000 0.5000 0.0000
Zn: 0.1293 0.3707 0.5000
Zn: 0.3707 0.8707 0.5000
Zn: 0.6293 0.1293 0.5000
Zn: 0.8707 0.6293 0.5000
Rh: 0.1627 0.6627 0.0000
Rh: 0.3373 0.1627 0.0000
Rh: 0.6627 0.8373 0.0000
Rh: 0.8373 0.3373 0.0000

Main lines, by angle (2θ from 10° to 80°):
2theta	I (rel.)
28.7	18
33.4	25
33.9	18
38.1	83
39.6	100
45.0	16
48.4	24
59.5	13
72.8	24
74.9	17